[1]
Diffraction record for Cr4Au3O12. The PXRD pattern is computed, not measured: it uses the GGA+U geometry in Alexandria and Cu Kα (λ = 1.5418 Å).

Main lines, by intensity (2θ = 10–90°):
| index | d (Å) | I/Imax |
| --- | --- | --- |
| 2 2 0 | 2.677 | 1000 |
| 4 2 2 | 1.546 | 458 |
| 1 1 0 | 5.355 | 405 |
| 2 0 0 | 3.786 | 245 |
| 4 0 0 | 1.893 | 242 |
| 2 1 1 | 3.092 | 233 |
| 6 0 2 | 1.197 | 175 |
| 2 2 2 | 2.186 | 155 |
| 4 4 0 | 1.339 | 132 |
| 4 2 0 | 1.693 | 117 |

abc: 7.573 7.573 7.573
angles: 90.00 90.00 90.00
Space group Im-3 (No. 204)
Inequivalent atoms, fractional coordinates:
Cr 0.250 0.250 0.250 [8 per cell]
Au 0.000 0.000 0.500 [6 per cell]
O 0.000 0.184 0.309 [24 per cell]

***

[2]
Diffraction record for V2Zn3O8. The PXRD pattern is computed, not measured: it uses the GGA+U geometry in Alexandria and Cu Kα (λ = 1.5418 Å).

Main lines, by intensity (2θ = 10–90°):
| index | d (Å) | I/Imax |
| --- | --- | --- |
| 2 2 1 | 2.599 | 1000 |
| 2 4 4 | 1.493 | 573 |
| 1 3 1 | 3.078 | 536 |
| 0 2 3 | 2.522 | 454 |
| 2 4 0 | 2.129 | 321 |
| 1 1 3 | 2.486 | 287 |
| 1 1 2 | 3.325 | 264 |
| 0 2 1 | 4.811 | 242 |
| 1 5 1 | 2.125 | 209 |
| 0 2 2 | 3.411 | 203 |

abc: 6.178 11.756 8.376
angles: 90.00 90.00 90.00
Space group Cmce (No. 64)
Inequivalent atoms, fractional coordinates:
V 0.000 0.122 0.120 [8 per cell]
Zn 0.000 0.000 0.500 [4 per cell]
Zn 0.250 0.137 0.750 [8 per cell]
O 0.000 0.001 0.255 [8 per cell]
O 0.000 0.249 0.726 [8 per cell]
O 0.228 0.118 0.000 [16 per cell]